This entry pairs a crystal structure of Li4VF8 with its computed PXRD pattern. Radiation: Cu Kα. Structure: a DFT-relaxed cell (PBE+U, Alexandria).
No peak broadening, texture or thermal motion is included.

Main lines, by angle (15 to 90 degrees two-theta):
2theta, I/Imax
18.28, 100
18.80, 20
20.57, 47
20.99, 47
24.52, 26
42.82, 53
44.06, 79
47.25, 44
58.72, 21
62.18, 18

Cell and atoms:
```
52
Lattice="9.469 0.000 0.000 0.000 9.438 0.000 0.000 0.000 5.657" Properties=species:S:1:pos:R:3 pbc="T T T"
Li 1.019 0.756 0.728
Li 1.019 3.963 0.728
Li 1.243 0.593 3.497
Li 1.243 4.126 3.497
Li 3.492 5.312 0.668
Li 3.492 8.845 0.668
Li 3.715 5.476 3.557
Li 3.715 8.682 3.557
Li 5.754 0.756 2.100
Li 5.754 3.963 2.100
Li 5.978 0.593 4.989
Li 5.978 4.126 4.989
Li 8.226 5.312 2.160
Li 8.226 8.845 2.160
Li 8.450 5.476 4.929
Li 8.450 8.682 4.929
V 1.259 7.079 2.112
V 3.476 2.360 4.940
V 5.994 7.079 0.717
V 8.210 2.360 3.546
F 0.209 5.855 0.889
F 0.209 8.302 0.889
F 0.236 5.902 3.357
F 0.236 8.256 3.357
F 2.153 2.360 0.685
F 2.219 2.360 3.508
F 2.225 5.090 2.118
F 2.225 9.068 2.118
F 2.510 0.370 4.947
F 2.510 4.349 4.947
F 2.516 7.079 0.679
F 2.582 7.079 3.514
F 4.499 1.183 0.529
F 4.499 3.536 0.529
F 4.525 1.136 3.718
F 4.525 3.583 3.718
F 4.944 5.855 1.940
F 4.944 8.302 1.940
F 4.970 5.902 5.129
F 4.970 8.256 5.129
F 6.887 2.360 2.143
F 6.953 2.360 4.978
F 6.960 5.090 0.711
F 6.960 9.068 0.711
F 7.244 0.370 3.539
F 7.244 4.349 3.539
F 7.251 7.079 2.150
F 7.317 7.079 4.972
F 9.234 1.183 2.300
F 9.234 3.536 2.300
F 9.260 1.136 4.768
F 9.260 3.583 4.768
```